Entry 1:
For Sr2CeSe3, DFT lattice parameters and positions (PBE) gives the computed X-ray powder pattern in this record (Cu Ka).

Crystal structure
```
Sr2CeSe3
1.0
-2.175 3.092 6.597
2.175 -3.092 6.597
2.175 3.092 -6.597
Sr Ce Se
2 1 3
Direct
0.168 0.168 0.000 Sr
0.832 0.832 0.000 Sr
0.500 0.500 0.000 Ce
0.000 0.500 0.500 Se
0.339 0.839 0.500 Se
0.661 0.161 0.500 Se
```

Peak list (8 most intense, 2θ = 10–80°, in order of falling intensity)
d [Å]  I_rel
3.093  100
2.187  50
1.383  23
1.792  13
1.779  13
2.199  13
2.175  12
1.546  12



Entry 2:
For PmPaCoN4, DFT lattice parameters and positions (PBE) gives the computed X-ray powder pattern in this record (Cu Ka).

Crystal structure
```
PmPaCoN4
1.0
-1.869 1.869 6.032
1.869 -1.869 6.032
1.869 1.869 -6.032
Pm Pa Co N
1 1 1 4
Direct
0.000 0.000 0.000 Pm
0.721 0.721 0.000 Pa
0.359 0.359 0.000 Co
0.191 0.191 0.000 N
0.345 0.845 0.500 N
0.540 0.540 0.000 N
0.845 0.345 0.500 N
```

Peak list (8 most intense, 2θ = 10–80°, in order of falling intensity)
d [Å]  I_rel
2.738  100
2.644  66
3.571  45
1.544  37
1.988  31
1.869  29
3.016  18
2.027  15



Entry 3:
For NbBiAs, DFT lattice parameters and positions (PBE) gives the computed X-ray powder pattern in this record (Cu Ka).

Crystal structure
```
NbBiAs
1.0
9.699 0.000 0.000
0.000 9.699 0.000
0.000 0.000 3.416
Nb Bi As
4 4 4
Direct
0.215 0.753 0.000 Nb
0.247 0.215 0.500 Nb
0.753 0.785 0.500 Nb
0.785 0.247 0.000 Nb
0.239 0.456 0.000 Bi
0.456 0.761 0.500 Bi
0.544 0.239 0.500 Bi
0.761 0.544 0.000 Bi
0.022 0.758 0.500 As
0.242 0.022 0.000 As
0.758 0.978 0.000 As
0.978 0.242 0.500 As
```

Peak list (8 most intense, 2θ = 10–80°, in order of falling intensity)
d [Å]  I_rel
2.793  100
2.425  43
1.831  39
3.067  35
2.282  35
4.850  34
1.900  34
3.429  32



Entry 4:
For PrHg3I9, DFT lattice parameters and positions (PBE) gives the computed X-ray powder pattern in this record (Cu Ka).

Crystal structure
```
PrHg3I9
1.0
10.463 -5.332 0.000
10.463 5.332 0.000
-9.510 0.000 11.595
Pr Hg I
2 6 18
Direct
0.233 0.767 0.500 Pr
0.767 0.233 0.000 Pr
0.197 0.346 0.788 Hg
0.346 0.197 0.288 Hg
0.566 0.709 0.334 Hg
0.709 0.566 0.834 Hg
0.756 0.974 0.177 Hg
0.974 0.756 0.677 Hg
0.022 0.508 0.930 I
0.065 0.933 0.674 I
0.111 0.170 0.070 I
0.170 0.111 0.570 I
0.227 0.479 0.463 I
0.247 0.564 0.797 I
0.306 0.695 0.294 I
0.479 0.227 0.963 I
0.508 0.022 0.430 I
0.547 0.847 0.970 I
0.564 0.247 0.297 I
0.580 0.615 0.619 I
0.615 0.580 0.119 I
0.695 0.306 0.794 I
0.755 0.934 0.785 I
0.847 0.547 0.470 I
0.933 0.065 0.174 I
0.934 0.755 0.285 I
```

Peak list (8 most intense, 2θ = 10–80°, in order of falling intensity)
d [Å]  I_rel
6.107  100
3.608  91
5.559  86
3.880  70
2.532  53
2.286  52
3.726  40
2.128  40



Entry 5:
For NaPH3C2N3O4, DFT lattice parameters and positions (PBE) gives the computed X-ray powder pattern in this record (Cu Ka).

Crystal structure
```
NaPH3C2N3O4
1.0
6.982 0.000 0.000
0.000 12.376 0.000
-5.009 0.000 6.975
Na P H C N O
4 4 12 8 12 16
Direct
0.149 0.043 0.394 Na
0.149 0.457 0.894 Na
0.851 0.543 0.106 Na
0.851 0.957 0.606 Na
0.315 0.579 0.609 P
0.315 0.921 0.109 P
0.685 0.079 0.891 P
0.685 0.421 0.391 P
0.010 0.691 0.566 H
0.010 0.809 0.066 H
0.350 0.079 0.897 H
0.350 0.421 0.397 H
0.492 0.106 0.361 H
0.492 0.394 0.861 H
0.508 0.606 0.139 H
0.508 0.894 0.639 H
0.650 0.579 0.603 H
0.650 0.921 0.103 H
0.990 0.191 0.934 H
0.990 0.309 0.434 H
0.235 0.701 0.081 C
0.235 0.799 0.581 C
0.399 0.238 0.879 C
0.399 0.262 0.379 C
0.601 0.738 0.621 C
0.601 0.762 0.121 C
0.765 0.201 0.419 C
0.765 0.299 0.919 C
0.167 0.696 0.581 N
0.167 0.804 0.081 N
0.455 0.686 0.120 N
0.455 0.814 0.620 N
0.457 0.132 0.886 N
0.457 0.368 0.386 N
0.543 0.632 0.614 N
0.543 0.868 0.114 N
0.545 0.186 0.380 N
0.545 0.314 0.880 N
0.833 0.196 0.919 N
0.833 0.304 0.419 N
0.111 0.620 0.050 O
0.111 0.880 0.550 O
0.175 0.508 0.435 O
0.175 0.992 0.935 O
0.225 0.232 0.374 O
0.225 0.268 0.874 O
0.403 0.529 0.801 O
0.403 0.971 0.301 O
0.597 0.029 0.699 O
0.597 0.471 0.199 O
0.775 0.732 0.126 O
0.775 0.768 0.626 O
0.825 0.008 0.065 O
0.825 0.492 0.565 O
0.889 0.120 0.450 O
0.889 0.380 0.950 O
```

Peak list (8 most intense, 2θ = 10–80°, in order of falling intensity)
d [Å]  I_rel
3.357  100
4.552  23
2.810  22
4.054  22
3.378  18
2.952  16
3.336  10
5.156  10



Entry 6:
For Li2Mg4Ag, DFT lattice parameters and positions (PBE) gives the computed X-ray powder pattern in this record (Cu Ka).

Crystal structure
```
Li2Mg4Ag
1.0
5.358 0.000 0.000
0.000 9.558 0.000
-0.003 0.000 5.683
Li Mg Ag
4 8 2
Direct
0.245 0.002 0.000 Li
0.245 0.498 0.500 Li
0.755 0.502 0.500 Li
0.755 0.998 0.000 Li
0.007 0.160 0.499 Mg
0.007 0.340 0.999 Mg
0.491 0.750 0.250 Mg
0.491 0.750 0.750 Mg
0.509 0.250 0.250 Mg
0.509 0.250 0.750 Mg
0.993 0.660 0.001 Mg
0.993 0.840 0.501 Mg
0.500 0.000 0.500 Ag
0.500 0.500 0.000 Ag
```

Peak list (8 most intense, 2θ = 10–80°, in order of falling intensity)
d [Å]  I_rel
4.885  100
2.467  55
2.222  52
5.358  46
3.610  41
2.349  40
2.182  27
2.679  27



Entry 7:
For CePm8Er3, DFT lattice parameters and positions (PBE) gives the computed X-ray powder pattern in this record (Cu Ka).

Crystal structure
```
CePm8Er3
1.0
-3.300 5.588 5.792
3.300 -5.588 5.792
3.300 5.588 -5.792
Ce Pm Er
1 8 3
Direct
0.000 0.000 0.000 Ce
0.087 0.251 0.838 Pm
0.235 0.237 0.498 Pm
0.260 0.763 0.998 Pm
0.413 0.249 0.162 Pm
0.587 0.749 0.836 Pm
0.740 0.737 0.502 Pm
0.765 0.263 0.002 Pm
0.913 0.751 0.164 Pm
0.244 0.744 0.500 Er
0.500 0.500 0.000 Er
0.756 0.256 0.500 Er
```

Peak list (8 most intense, 2θ = 10–80°, in order of falling intensity)
d [Å]  I_rel
2.831  100
2.896  56
2.867  49
2.551  34
2.841  31
1.800  27
1.415  25
2.028  22



Entry 8:
For YSbPtI2, DFT lattice parameters and positions (PBE) gives the computed X-ray powder pattern in this record (Cu Ka).

Crystal structure
```
YSbPtI2
1.0
5.365 0.000 0.000
0.000 5.365 0.000
0.000 0.000 5.429
Y Sb Pt I
1 1 1 2
Direct
0.000 0.000 0.000 Y
0.500 0.500 0.000 Sb
0.500 0.500 0.500 Pt
0.000 0.500 0.500 I
0.500 0.000 0.500 I
```

Peak list (8 most intense, 2θ = 10–80°, in order of falling intensity)
d [Å]  I_rel
2.682  100
1.908  73
5.365  62
3.110  52
2.714  52
1.555  38
1.897  36
2.402  35